The following is a simulated powder diffractogram of Ho4FeBi. It was derived from a structure optimized by DFT (GGA-PBE), using Cu Ka.
Intensities are scaled so that the largest is 100.

Main lines, most intense first (2θ from 15° to 90°):
| Position (°2θ) | I_rel |
| --- | --- |
| 34.22 | 100 |
| 31.39 | 96 |
| 30.43 | 71 |
| 54.68 | 39 |
| 36.09 | 33 |
| 34.79 | 30 |
| 36.93 | 30 |
| 26.93 | 28 |
| 37.43 | 26 |
| 25.52 | 19 |
| 30.15 | 19 |
| 38.70 | 18 |

Structural model:
```
12
Lattice="4.413 -6.623 0.000 4.413 6.623 0.000 -2.206 0.000 5.609" Properties=species:S:1:pos:R:3 pbc="T T T"
Ho 1.404 4.483 5.274
Ho 1.012 0.950 3.578
Ho 4.112 4.483 3.140
Ho 2.115 -0.950 0.774
Ho 4.504 0.950 4.835
Ho 2.507 -4.483 2.469
Ho 5.607 -0.950 2.031
Ho 5.215 -4.483 0.335
Fe 3.861 6.615 1.402
Fe 2.758 -6.615 4.207
Bi 3.861 1.704 1.402
Bi 2.758 -1.704 4.207
```

---

The following is a simulated powder diffractogram of ZnPb2F11. It was derived from a structure optimized by DFT (GGA-PBE), using Cu Ka.
Intensities are scaled so that the largest is 100.

Main lines, most intense first (2θ from 15° to 90°):
| Position (°2θ) | I_rel |
| --- | --- |
| 24.17 | 100 |
| 24.47 | 65 |
| 16.79 | 50 |
| 17.66 | 30 |
| 34.20 | 24 |
| 21.68 | 22 |
| 42.88 | 18 |
| 35.11 | 17 |
| 45.21 | 16 |
| 22.20 | 14 |
| 45.85 | 14 |
| 46.20 | 13 |

Structural model:
```
28
Lattice="-4.270 5.021 5.279 4.270 -5.021 5.279 4.270 5.021 -5.279" Properties=species:S:1:pos:R:3 pbc="T T T"
Zn 0.000 0.000 2.640
Zn 0.000 0.000 7.919
Pb 5.493 2.166 0.000
Pb 1.223 2.855 0.000
Pb 3.047 2.166 5.279
Pb -1.223 2.855 5.279
F 4.270 0.000 0.000
F 4.982 -3.704 3.905
F 2.307 -1.125 1.588
F 3.288 1.896 0.000
F 1.963 3.896 -1.588
F 4.982 3.704 -1.374
F 0.712 1.317 1.374
F 6.233 1.125 1.588
F 3.288 -1.896 5.279
F 2.307 1.125 3.692
F 4.982 3.704 1.374
F 0.000 5.021 0.000
F -0.712 1.317 3.905
F 1.963 3.896 1.588
F 0.982 6.917 0.000
F -1.963 3.896 3.692
F 3.558 3.704 3.905
F -0.712 1.317 6.654
F 2.307 1.125 6.867
F 0.982 3.125 5.279
F 1.963 6.146 3.692
F -0.712 8.725 1.374
```

---

The following is a simulated powder diffractogram of Li2Tb3Pt6. It was derived from a structure optimized by DFT (GGA-PBE), using Cu Ka.
Intensities are scaled so that the largest is 100.

Main lines, most intense first (2θ from 15° to 90°):
| Position (°2θ) | I_rel |
| --- | --- |
| 40.34 | 100 |
| 73.33 | 32 |
| 35.40 | 24 |
| 58.36 | 17 |
| 26.58 | 15 |
| 60.13 | 12 |
| 29.78 | 10 |
| 87.19 | 10 |
| 48.96 | 8 |
| 79.56 | 5 |
| 18.71 | 5 |
| 65.24 | 4 |

Structural model:
```
22
Lattice="-4.743 4.743 4.743 4.743 -4.743 4.743 4.743 4.743 -4.743" Properties=species:S:1:pos:R:3 pbc="T T T"
Li 2.372 2.372 -2.372
Li 2.372 -2.372 2.372
Li -2.372 2.372 2.372
Li 2.372 2.372 2.372
Tb 2.881 0.000 0.000
Tb 6.605 0.000 0.000
Tb 0.000 2.881 0.000
Tb 0.000 0.000 2.881
Tb 0.000 6.605 0.000
Tb 0.000 0.000 6.605
Pt 4.743 1.578 -1.578
Pt 4.743 -1.578 1.578
Pt 4.743 1.578 1.578
Pt 1.578 4.743 -1.578
Pt 3.165 3.165 0.000
Pt 1.578 -1.578 4.743
Pt 3.165 0.000 3.165
Pt -1.578 4.743 1.578
Pt 1.578 4.743 1.578
Pt -1.578 1.578 4.743
Pt 1.578 1.578 4.743
Pt 0.000 3.165 3.165
```

---

The following is a simulated powder diffractogram of La3Pr5Sm4. It was derived from a structure optimized by DFT (GGA-PBE), using Cu Ka.
Intensities are scaled so that the largest is 100.

Main lines, most intense first (2θ from 15° to 90°):
| Position (°2θ) | I_rel |
| --- | --- |
| 29.59 | 100 |
| 34.28 | 45 |
| 29.65 | 33 |
| 49.27 | 24 |
| 58.48 | 24 |
| 34.39 | 22 |
| 58.60 | 19 |
| 49.32 | 16 |
| 58.71 | 14 |
| 79.96 | 12 |
| 61.38 | 8 |
| 61.54 | 8 |

Structural model:
```
12
Lattice="6.410 0.000 0.000 -0.005 7.370 0.000 -0.016 -0.019 9.066" Properties=species:S:1:pos:R:3 pbc="T T T"
La 0.000 0.000 0.000
La 1.048 5.505 6.036
La 5.340 1.847 3.030
Pr -0.003 3.685 0.000
Pr 2.126 7.359 3.033
Pr 3.177 1.835 9.066
Pr 3.211 5.517 0.000
Pr 4.263 -0.008 6.033
Sm 1.063 1.847 6.033
Sm 2.129 3.680 3.031
Sm 4.259 3.672 6.035
Sm 5.326 5.504 3.033
```